No. 1
Diffraction record for AlMoOs4. The powder X-ray diffraction pattern is theoretical, not measured: it uses a structure optimized by DFT (GGA-PBE) and Cu Kα, 1.54184 Å.
No peak broadening, texture or thermal motion is included.

Structural model:
Cell: 7.235 7.235 7.235 Å, 90.00 90.00 90.00°
Space group F-43m (No. 216)
Inequivalent atoms, fractional coordinates:
1 Al 0.000 0.000 0.000 x4
2 Mo 0.250 0.250 0.750 x4
3 Os 0.125 0.125 0.375 x16

The 10 most intense peaks (10° ≤ 2θ ≤ 90°), most intense first:
2θ = 41.4°, d = 2.181 Å, rel. 100, (3 1 1); 2θ = 43.3°, d = 2.089 Å, rel. 77, (2 2 2); 2θ = 21.3°, d = 4.177 Å, rel. 70, (1 1 1); 2θ = 74.1°, d = 1.279 Å, rel. 32, (4 4 0); 2θ = 67.2°, d = 1.392 Å, rel. 32, (5 1 1); 2θ = 89.9°, d = 1.091 Å, rel. 31, (6 2 2); 2θ = 50.5°, d = 1.809 Å, rel. 26, (4 0 0); 2θ = 55.3°, d = 1.660 Å, rel. 17, (3 3 1); 2θ = 78.2°, d = 1.223 Å, rel. 13, (5 3 1); 2θ = 88.6°, d = 1.103 Å, rel. 12, (5 3 3)

***

No. 2
Diffraction record for AlMoP2. The powder X-ray diffraction pattern is theoretical, not measured: it uses a structure optimized by DFT (GGA-PBE) and Cu Kα, 1.54184 Å.
No peak broadening, texture or thermal motion is included.

Structural model:
Cell: 3.370 3.370 5.183 Å, 90.00 90.00 90.00°
Space group P4mm (No. 99)
Inequivalent atoms, fractional coordinates:
1 Al 0.000 0.000 0.000 x1
2 Mo 0.500 0.500 0.351 x1
3 P 0.000 0.000 0.491 x1
4 P 0.500 0.500 0.852 x1

The 10 most intense peaks (10° ≤ 2θ ≤ 90°), most intense first:
2θ = 37.8°, d = 2.383 Å, rel. 100, (1 1 0); 2θ = 44.1°, d = 2.054 Å, rel. 85, (1 0 2); 2θ = 17.1°, d = 5.183 Å, rel. 52, (0 0 1); 2θ = 31.7°, d = 2.825 Å, rel. 38, (1 0 1); 2θ = 26.4°, d = 3.370 Å, rel. 38, (1 0 0); 2θ = 72.6°, d = 1.303 Å, rel. 38, (2 1 2); 2θ = 52.1°, d = 1.754 Å, rel. 35, (1 1 2); 2θ = 54.5°, d = 1.685 Å, rel. 33, (2 0 0); 2θ = 34.6°, d = 2.592 Å, rel. 30, (0 0 2); 2θ = 41.7°, d = 2.165 Å, rel. 22, (1 1 1)

***

No. 3
Diffraction record for Al3MoPt12. The powder X-ray diffraction pattern is theoretical, not measured: it uses a structure optimized by DFT (GGA-PBE) and Cu Kα, 1.54184 Å.
No peak broadening, texture or thermal motion is included.

Structural model:
Cell: 3.936 3.936 15.733 Å, 90.00 90.00 90.00°
Space group P4/mmm (No. 123)
Inequivalent atoms, fractional coordinates:
1 Al 0.000 0.000 0.000 x1
2 Al 0.000 0.000 0.241 x2
3 Mo 0.000 0.000 0.500 x1
4 Pt 0.000 0.500 0.124 x4
5 Pt 0.000 0.500 0.376 x4
6 Pt 0.500 0.500 0.000 x1
7 Pt 0.500 0.500 0.250 x2
8 Pt 0.500 0.500 0.500 x1

The 10 most intense peaks (10° ≤ 2θ ≤ 90°), most intense first:
2θ = 39.7°, d = 2.272 Å, rel. 100, (1 1 4); 2θ = 46.1°, d = 1.967 Å, rel. 49, (2 0 0); 2θ = 81.1°, d = 1.186 Å, rel. 39, (3 1 4); 2θ = 67.3°, d = 1.391 Å, rel. 32, (2 2 0); 2θ = 22.6°, d = 3.935 Å, rel. 17, (0 0 4); 2θ = 32.2°, d = 2.782 Å, rel. 15, (1 0 4); 2θ = 85.5°, d = 1.136 Å, rel. 11, (2 2 8); 2θ = 52.0°, d = 1.760 Å, rel. 8, (1 0 8); 2θ = 57.4°, d = 1.606 Å, rel. 6, (1 1 8); 2θ = 72.0°, d = 1.312 Å, rel. 4, (0 0 12)

***

No. 4
Diffraction record for AlReSiMo. The powder X-ray diffraction pattern is theoretical, not measured: it uses a structure optimized by DFT (GGA-PBE) and Cu Kα, 1.54184 Å.
No peak broadening, texture or thermal motion is included.

Structural model:
Cell: 3.156 3.156 5.720 Å, 90.00 90.00 90.00°
Space group P4mm (No. 99)
Inequivalent atoms, fractional coordinates:
1 Al 0.000 0.000 0.000 x1
2 Re 0.500 0.500 0.765 x1
3 Si 0.500 0.500 0.250 x1
4 Mo 0.000 0.000 0.481 x1

The 10 most intense peaks (10° ≤ 2θ ≤ 90°), most intense first:
2θ = 42.7°, d = 2.119 Å, rel. 100, (1 0 2); 2θ = 32.4°, d = 2.764 Å, rel. 68, (1 0 1); 2θ = 15.5°, d = 5.720 Å, rel. 63, (0 0 1); 2θ = 40.4°, d = 2.232 Å, rel. 60, (1 1 0); 2θ = 75.0°, d = 1.266 Å, rel. 38, (2 1 2); 2θ = 43.5°, d = 2.079 Å, rel. 20, (1 1 1); 2θ = 58.5°, d = 1.578 Å, rel. 20, (2 0 0); 2θ = 68.5°, d = 1.370 Å, rel. 16, (2 1 1); 2θ = 79.6°, d = 1.204 Å, rel. 15, (1 1 4); 2θ = 64.2°, d = 1.450 Å, rel. 13, (1 1 3)

***

No. 5
Diffraction record for TaAlReMo. The powder X-ray diffraction pattern is theoretical, not measured: it uses a structure optimized by DFT (GGA-PBE) and Cu Kα, 1.54184 Å.
No peak broadening, texture or thermal motion is included.

Structural model:
Cell: 6.321 6.321 6.321 Å, 90.00 90.00 90.00°
Space group F-43m (No. 216)
Inequivalent atoms, fractional coordinates:
1 Ta 0.000 0.000 0.000 x4
2 Al 0.000 0.000 0.500 x4
3 Re 0.250 0.250 0.750 x4
4 Mo 0.250 0.250 0.250 x4

The 10 most intense peaks (10° ≤ 2θ ≤ 90°), most intense first:
2θ = 40.4°, d = 2.235 Å, rel. 100, (2 2 0); 2θ = 73.4°, d = 1.290 Å, rel. 35, (4 2 2); 2θ = 24.4°, d = 3.650 Å, rel. 31, (1 1 1); 2θ = 58.4°, d = 1.580 Å, rel. 17, (4 0 0); 2θ = 47.7°, d = 1.906 Å, rel. 16, (3 1 1); 2θ = 87.2°, d = 1.117 Å, rel. 11, (4 4 0); 2θ = 64.2°, d = 1.450 Å, rel. 7, (3 3 1); 2θ = 78.6°, d = 1.217 Å, rel. 5, (5 1 1); 2θ = 28.2°, d = 3.161 Å, rel. 3, (2 0 0); 2θ = 66.1°, d = 1.413 Å, rel. 1, (4 2 0)

***

No. 6
Diffraction record for ZrAl2ReMo. The powder X-ray diffraction pattern is theoretical, not measured: it uses a structure optimized by DFT (GGA-PBE) and Cu Kα, 1.54184 Å.
No peak broadening, texture or thermal motion is included.

Structural model:
Cell: 4.648 4.648 4.787 Å, 90.00 90.00 90.00°
Space group P4/mmm (No. 123)
Inequivalent atoms, fractional coordinates:
1 Zr 0.000 0.000 0.000 x1
2 Al 0.000 0.500 0.500 x2
3 Re 0.500 0.500 0.000 x1
4 Mo 0.500 0.500 0.500 x1

The 10 most intense peaks (10° ≤ 2θ ≤ 90°), most intense first:
2θ = 27.1°, d = 3.287 Å, rel. 100, (1 1 0); 2θ = 19.1°, d = 4.648 Å, rel. 79, (1 0 0); 2θ = 38.7°, d = 2.324 Å, rel. 69, (2 0 0); 2θ = 33.1°, d = 2.709 Å, rel. 63, (1 1 1); 2θ = 55.1°, d = 1.667 Å, rel. 49, (2 0 2); 2θ = 47.0°, d = 1.935 Å, rel. 45, (1 1 2); 2θ = 37.6°, d = 2.393 Å, rel. 38, (0 0 2); 2θ = 69.4°, d = 1.355 Å, rel. 25, (2 2 2); 2θ = 56.0°, d = 1.643 Å, rel. 24, (2 2 0); 2θ = 76.0°, d = 1.252 Å, rel. 21, (3 1 2)

***

No. 7
Diffraction record for AlMoS. The powder X-ray diffraction pattern is theoretical, not measured: it uses a structure optimized by DFT (GGA-PBE) and Cu Kα, 1.54184 Å.
No peak broadening, texture or thermal motion is included.

Structural model:
Cell: 4.3317 4.3317 22.9061 Å, 90.00 90.00 120.00°
Space group R-3m (No. 166, hexagonal axes)
Inequivalent atoms, fractional coordinates:
1 Al 0.0000 0.0000 0.1678 x6
2 Mo 0.0000 0.0000 0.4480 x6
3 S 0.0000 0.0000 0.2685 x6

The 10 most intense peaks (10° ≤ 2θ ≤ 90°), most intense first:
2θ = 11.6°, d = 7.635 Å, rel. 100, (0 0 3); 2θ = 24.0°, d = 3.702 Å, rel. 76, (1 0 1); 2θ = 41.7°, d = 2.166 Å, rel. 61, (1 1 0); 2θ = 36.4°, d = 2.466 Å, rel. 37, (1 0 7); 2θ = 46.4°, d = 1.955 Å, rel. 26, (1 0 10); 2θ = 50.1°, d = 1.821 Å, rel. 25, (0 1 11); 2θ = 43.4°, d = 2.084 Å, rel. 22, (1 1 3); 2θ = 39.6°, d = 2.276 Å, rel. 18, (0 1 8); 2θ = 28.4°, d = 3.138 Å, rel. 13, (1 0 4); 2θ = 82.3°, d = 1.172 Å, rel. 12, (1 2 11)

***

No. 8
Diffraction record for AlSiMo6. The powder X-ray diffraction pattern is theoretical, not measured: it uses a structure optimized by DFT (GGA-PBE) and Cu Kα, 1.54184 Å.
No peak broadening, texture or thermal motion is included.

Structural model:
Cell: 4.943 4.943 4.943 Å, 90.00 90.00 90.00°
Space group Pm-3 (No. 200)
Inequivalent atoms, fractional coordinates:
1 Al 0.000 0.000 0.000 x1
2 Si 0.500 0.500 0.500 x1
3 Mo 0.000 0.252 0.500 x6

The 10 most intense peaks (10° ≤ 2θ ≤ 90°), most intense first:
2θ = 40.8°, d = 2.211 Å, rel. 100, (2 0 1); 2θ = 44.9°, d = 2.018 Å, rel. 31, (2 1 1); 2θ = 25.5°, d = 3.495 Å, rel. 23, (1 1 0); 2θ = 68.4°, d = 1.371 Å, rel. 21, (3 0 2); 2θ = 71.4°, d = 1.321 Å, rel. 15, (3 2 1); 2θ = 65.4°, d = 1.427 Å, rel. 15, (2 2 2); 2θ = 36.3°, d = 2.472 Å, rel. 14, (2 0 0); 2θ = 77.2°, d = 1.236 Å, rel. 10, (4 0 0); 2θ = 88.4°, d = 1.105 Å, rel. 5, (4 2 0); 2θ = 59.1°, d = 1.563 Å, rel. 4, (3 1 0)